(1)
Structure and simulated XRD peak list of Dy3SnHg (a PBE-relaxed structure; Cu Kα (λ = 1.5418 Å)).
Peak positions follow from Bragg's law for the DFT cell and can differ from measured ones.

Top 10 peaks for 2θ = 10–80°, by angle:
25.65 deg, I = 88
31.35 deg, I = 93
31.91 deg, I = 32
32.49 deg, I = 42
33.59 deg, I = 58
34.32 deg, I = 82
34.94 deg, I = 100
35.29 deg, I = 44
36.25 deg, I = 36
51.15 deg, I = 30

```
Dy3SnHg
1.0
6.042 -5.609 0.000
6.042 5.609 0.000
-0.001 0.000 8.664
Dy Sn Hg
12 4 4
Cartesian
4.872 4.438 5.045 Dy
3.022 1.946 6.968 Dy
7.212 4.438 7.951 Dy
4.857 1.165 3.620 Dy
3.022 -1.946 2.635 Dy
7.227 1.165 0.712 Dy
4.857 -1.165 7.952 Dy
9.062 1.946 6.029 Dy
7.227 -1.165 5.044 Dy
4.872 -4.438 0.713 Dy
9.062 -1.946 1.697 Dy
7.212 -4.438 3.619 Dy
6.042 3.944 2.166 Sn
6.042 1.652 6.498 Sn
6.042 -1.652 2.166 Sn
6.042 -3.944 6.498 Sn
3.005 0.674 1.080 Hg
3.005 -0.674 5.413 Hg
9.079 0.674 3.252 Hg
9.079 -0.674 7.584 Hg
```

***

(2)
Structure and simulated XRD peak list of Na2Dy2Hg3 (a PBE-relaxed structure; Cu Kα (λ = 1.5418 Å)).
Peak positions follow from Bragg's law for the DFT cell and can differ from measured ones.

Top 10 peaks for 2θ = 10–80°, by angle:
12.33 deg, I = 20
30.63 deg, I = 22
32.46 deg, I = 67
34.38 deg, I = 100
34.90 deg, I = 71
37.09 deg, I = 34
59.83 deg, I = 26
60.44 deg, I = 23
61.46 deg, I = 28
63.44 deg, I = 15

```
Na2Dy2Hg3
1.0
1.863 -14.360 0.000
1.863 14.360 0.000
0.000 0.000 3.683
Na Dy Hg
2 2 3
Cartesian
1.863 8.791 0.000 Na
1.863 -8.791 0.000 Na
1.863 12.489 0.000 Dy
1.863 -12.489 0.000 Dy
1.863 3.650 1.841 Hg
1.863 0.000 1.841 Hg
1.863 -3.650 1.841 Hg
```

***

(3)
Structure and simulated XRD peak list of Ac2Ag5Hg (a PBE-relaxed structure; Cu Kα (λ = 1.5418 Å)).
Peak positions follow from Bragg's law for the DFT cell and can differ from measured ones.

Top 10 peaks for 2θ = 10–80°, by angle:
26.39 deg, I = 40
30.19 deg, I = 100
31.95 deg, I = 64
33.17 deg, I = 47
35.73 deg, I = 52
38.11 deg, I = 52
41.17 deg, I = 23
42.04 deg, I = 26
53.23 deg, I = 33
60.77 deg, I = 27

```
Ac2Ag5Hg
1.0
2.362 -8.697 0.000
2.362 8.697 0.000
0.000 0.000 10.057
Ac Ag Hg
4 10 2
Cartesian
0.000 0.000 0.000 Ac
0.000 0.000 5.029 Ac
2.362 5.148 7.543 Ac
2.362 -5.148 2.514 Ac
2.362 5.523 1.117 Ag
2.362 5.523 3.911 Ag
2.362 2.674 0.229 Ag
2.362 2.674 4.799 Ag
2.362 1.832 7.543 Ag
2.362 -1.832 2.514 Ag
2.362 -2.674 5.258 Ag
2.362 -2.674 9.828 Ag
2.362 -5.523 6.146 Ag
2.362 -5.523 8.940 Ag
2.362 0.966 2.514 Hg
2.362 -0.966 7.543 Hg
```

***

(4)
Structure and simulated XRD peak list of Cu2HgPOs (a PBE-relaxed structure; Cu Kα (λ = 1.5418 Å)).
Peak positions follow from Bragg's law for the DFT cell and can differ from measured ones.

Top 10 peaks for 2θ = 10–80°, by angle:
27.21 deg, I = 100
27.37 deg, I = 30
38.63 deg, I = 25
39.09 deg, I = 48
47.99 deg, I = 14
48.28 deg, I = 44
56.13 deg, I = 33
56.47 deg, I = 16
63.82 deg, I = 16
70.52 deg, I = 17

```
Cu2HgPOs
1.0
4.609 0.000 0.000
0.000 4.609 0.000
0.000 0.000 4.661
Cu Hg P Os
2 1 1 1
Cartesian
0.000 2.304 0.000 Cu
2.304 0.000 0.000 Cu
0.000 0.000 0.000 Hg
0.000 0.000 2.331 P
2.304 2.304 2.331 Os
```

***

(5)
Structure and simulated XRD peak list of Cs4Te5As2 (a PBE-relaxed structure; Cu Kα (λ = 1.5418 Å)).
Peak positions follow from Bragg's law for the DFT cell and can differ from measured ones.

Top 10 peaks for 2θ = 10–80°, by angle:
14.18 deg, I = 18
14.53 deg, I = 24
23.66 deg, I = 22
25.86 deg, I = 45
26.67 deg, I = 26
27.54 deg, I = 100
28.08 deg, I = 82
41.21 deg, I = 24
48.40 deg, I = 19
49.44 deg, I = 18

```
Cs4Te5As2
1.0
6.470 -4.382 0.000
6.470 4.382 0.000
-2.792 0.000 10.335
Cs Te As
4 5 2
Cartesian
0.000 0.000 0.000 Cs
0.605 0.000 7.523 Cs
6.768 0.000 0.119 Cs
9.640 0.000 4.054 Cs
3.418 2.031 0.893 Te
3.823 2.096 7.093 Te
5.605 0.000 3.838 Te
3.418 -2.031 0.893 Te
3.823 -2.096 7.093 Te
3.236 0.000 2.541 As
5.276 0.000 6.510 As
```

***

(6)
Structure and simulated XRD peak list of CrFe2C2 (a PBE-relaxed structure; Cu Kα (λ = 1.5418 Å)).
Peak positions follow from Bragg's law for the DFT cell and can differ from measured ones.

Top 10 peaks for 2θ = 10–80°, by angle:
19.43 deg, I = 14
23.94 deg, I = 33
31.02 deg, I = 34
34.11 deg, I = 100
39.45 deg, I = 53
39.56 deg, I = 41
49.01 deg, I = 53
53.13 deg, I = 59
64.65 deg, I = 42
71.83 deg, I = 15

```
CrFe2C2
1.0
3.717 0.000 0.000
0.000 3.717 0.000
0.000 0.000 4.569
Cr Fe C
1 2 2
Cartesian
0.000 0.000 0.000 Cr
0.000 0.000 2.284 Fe
1.859 1.859 2.284 Fe
0.000 1.859 0.000 C
1.859 0.000 0.000 C
```

***

(7)
Structure and simulated XRD peak list of Pm4CdCuHg2 (a PBE-relaxed structure; Cu Kα (λ = 1.5418 Å)).
Peak positions follow from Bragg's law for the DFT cell and can differ from measured ones.

Top 10 peaks for 2θ = 10–80°, by angle:
20.45 deg, I = 14
30.93 deg, I = 9
33.64 deg, I = 100
33.75 deg, I = 90
48.39 deg, I = 33
60.20 deg, I = 53
60.44 deg, I = 12
64.15 deg, I = 9
70.71 deg, I = 12
70.98 deg, I = 8

```
Pm4CdCuHg2
1.0
2.664 1.538 8.660
-2.664 1.538 8.660
0.000 -3.077 8.660
Pm Cd Cu Hg
4 1 1 2
Cartesian
0.000 0.000 3.057 Pm
0.000 0.000 9.586 Pm
0.000 0.000 16.394 Pm
0.000 0.000 22.923 Pm
0.000 0.000 12.990 Cd
0.000 0.000 0.000 Cu
0.000 0.000 6.317 Hg
0.000 0.000 19.663 Hg
```

***

(8)
Structure and simulated XRD peak list of Ca2MgCu3 (a PBE-relaxed structure; Cu Kα (λ = 1.5418 Å)).
Peak positions follow from Bragg's law for the DFT cell and can differ from measured ones.

Top 10 peaks for 2θ = 10–80°, by angle:
17.83 deg, I = 52
30.72 deg, I = 34
33.63 deg, I = 63
36.10 deg, I = 30
40.48 deg, I = 69
43.70 deg, I = 100
44.69 deg, I = 62
47.55 deg, I = 25
57.93 deg, I = 41
61.08 deg, I = 19

```
Ca2MgCu3
1.0
4.143 0.000 0.000
-2.071 3.588 0.000
0.000 0.000 19.903
Ca Mg Cu
4 2 6
Cartesian
0.000 2.392 2.367 Ca
0.000 2.392 7.585 Ca
2.071 1.196 12.318 Ca
2.071 1.196 17.536 Ca
0.000 0.000 4.976 Mg
0.000 0.000 14.927 Mg
0.000 0.000 0.000 Cu
0.000 0.000 9.951 Cu
0.000 2.392 10.422 Cu
0.000 2.392 19.432 Cu
2.071 1.196 0.470 Cu
2.071 1.196 9.481 Cu
```

***

(9)
Structure and simulated XRD peak list of Pu2Pa7Ga2 (a PBE-relaxed structure; Cu Kα (λ = 1.5418 Å)).
Peak positions follow from Bragg's law for the DFT cell and can differ from measured ones.

Top 10 peaks for 2θ = 10–80°, by angle:
25.56 deg, I = 20
33.03 deg, I = 21
34.37 deg, I = 23
35.07 deg, I = 100
38.75 deg, I = 25
39.66 deg, I = 21
51.82 deg, I = 12
56.65 deg, I = 15
67.78 deg, I = 16
69.01 deg, I = 12

```
Pu2Pa7Ga2
1.0
-2.324 6.818 4.150
2.324 -6.818 4.150
2.324 6.818 -4.150
Pu Pa Ga
2 7 2
Cartesian
0.000 0.000 0.000 Pu
0.000 6.818 1.345 Pu
2.324 2.240 -0.421 Pa
2.324 -2.229 3.217 Pa
0.000 0.000 2.920 Pa
2.324 4.688 1.429 Pa
2.324 2.229 3.217 Pa
0.000 4.578 3.729 Pa
0.000 2.130 5.579 Pa
0.000 2.664 1.394 Ga
0.000 10.972 1.394 Ga
```

***

(10)
Structure and simulated XRD peak list of InBi3Pb7 (a PBE-relaxed structure; Cu Kα (λ = 1.5418 Å)).
Peak positions follow from Bragg's law for the DFT cell and can differ from measured ones.

Top 10 peaks for 2θ = 10–80°, by angle:
17.95 deg, I = 9
31.29 deg, I = 100
31.56 deg, I = 31
36.36 deg, I = 66
52.19 deg, I = 24
52.55 deg, I = 23
62.12 deg, I = 15
62.28 deg, I = 28
62.61 deg, I = 13
65.27 deg, I = 12

```
InBi3Pb7
1.0
7.011 0.000 0.000
-3.505 6.072 0.000
0.000 0.000 8.503
In Bi Pb
1 3 7
Cartesian
0.000 0.000 0.000 In
0.000 2.028 5.681 Bi
-1.749 5.057 5.681 Bi
1.749 5.057 5.681 Bi
1.747 1.009 2.899 Pb
0.000 4.048 2.723 Pb
3.505 0.020 8.393 Pb
1.770 3.026 8.393 Pb
5.264 1.009 2.899 Pb
3.505 4.055 2.899 Pb
5.241 3.026 8.393 Pb
```